Starting from a PBE-relaxed structure, the powder diffractogram of LiSi2Ag8O8 was simulated for copper Kα.
Peak positions follow from Bragg's law for the DFT cell and can differ from measured ones.

Largest 12 diffraction maxima, in order of falling intensity, 10° ≤ 2θ ≤ 90°:
- 2θ 34.79, intensity 100, (2 1 -1)
- 2θ 33.17, intensity 45, (0 2 0)
- 2θ 35.19, intensity 44, (0 1 3)
- 2θ 20.47, intensity 37, (0 0 2)
- 2θ 30.79, intensity 37, (1 1 2)
- 2θ 45.14, intensity 23, (2 1 -3)
- 2θ 19.36, intensity 21, (0 1 1)
- 2θ 33.49, intensity 16, (1 0 -3)
- 2θ 39.29, intensity 16, (0 2 2)
- 2θ 50.51, intensity 15, (2 2 2)
- 2θ 47.86, intensity 15, (1 2 -3)
- 2θ 36.97, intensity 14, (2 0 2)

Crystal structure
Cell lengths 6.118, 5.401, 8.693 Å; angles 90.00, 93.35, 90.00 degrees
Space group P2 (No. 3)
Inequivalent atoms, fractional coordinates:
Li1 0.000 0.000 0.000 (multiplicity 1)
Si1 0.000 0.498 0.500 (multiplicity 1)
Si2 0.500 0.023 0.000 (multiplicity 1)
Ag1 0.173 0.553 0.862 (multiplicity 2)
Ag2 0.196 0.000 0.312 (multiplicity 2)
Ag3 0.313 0.958 0.658 (multiplicity 2)
Ag4 0.385 0.520 0.264 (multiplicity 2)
O1 0.026 0.330 0.660 (multiplicity 2)
O2 0.226 0.668 0.489 (multiplicity 2)
O3 0.278 0.855 0.031 (multiplicity 2)
O4 0.440 0.200 0.847 (multiplicity 2)